Theoretical X-ray powder pattern
Compound: NdMoClO4
Radiation: Cu Kα
Structure: a cell relaxed with GGA+U

Peak list (8 most intense, 10° ≤ 2θ ≤ 90°, by intensity)
- (0 0 2), 23.5°, I 100
- (0 4 0), 17.6°, I 44
- (2 0 1), 27.9°, I 43
- (2 4 1), 33.2°, I 40
- (1 4 0), 21.7°, I 35
- (1 1 0), 13.3°, I 30
- (2 0 3), 44.2°, I 30
- (1 5 1), 28.1°, I 26

Cell and atoms:
Cell: 7.0468 20.1531 7.5587 Å, 90.00 90.00 90.00°
Atoms (fractional coordinates):
Nd (0.0269, 0.1113, 0.0000)
Nd (0.2306, 0.8598, 0.5000)
Nd (0.2694, 0.3598, 0.5000)
Nd (0.4731, 0.6113, 0.0000)
Nd (0.5269, 0.3887, 0.0000)
Nd (0.7306, 0.6402, 0.5000)
Nd (0.7694, 0.1402, 0.5000)
Nd (0.9731, 0.8887, 0.0000)
Mo (0.0821, 0.3183, 0.0000)
Mo (0.2115, 0.0681, 0.5000)
Mo (0.2885, 0.5681, 0.5000)
Mo (0.4179, 0.8183, 0.0000)
Mo (0.5821, 0.1817, 0.0000)
Mo (0.7115, 0.4319, 0.5000)
Mo (0.7885, 0.9319, 0.5000)
Mo (0.9179, 0.6817, 0.0000)
Cl (0.0349, 0.2446, 0.5000)
Cl (0.2398, 0.9917, 0.0000)
Cl (0.2602, 0.4917, 0.0000)
Cl (0.4651, 0.7446, 0.5000)
Cl (0.5349, 0.2554, 0.5000)
Cl (0.7398, 0.5083, 0.0000)
Cl (0.7602, 0.0083, 0.0000)
Cl (0.9651, 0.7554, 0.5000)
O (0.0418, 0.2313, 0.0000)
O (0.0559, 0.6016, 0.5000)
O (0.0708, 0.0979, 0.3148)
O (0.0708, 0.0979, 0.6852)
O (0.1405, 0.6410, 0.0000)
O (0.2225, 0.9799, 0.5000)
O (0.2295, 0.3443, 0.1852)
O (0.2295, 0.3443, 0.8148)
O (0.2705, 0.8443, 0.1852)
O (0.2705, 0.8443, 0.8148)
O (0.2775, 0.4799, 0.5000)
O (0.3595, 0.1410, 0.0000)
O (0.4292, 0.5979, 0.3148)
O (0.4292, 0.5979, 0.6852)
O (0.4441, 0.1016, 0.5000)
O (0.4582, 0.7313, 0.0000)
O (0.5418, 0.2687, 0.0000)
O (0.5559, 0.8984, 0.5000)
O (0.5708, 0.4021, 0.3148)
O (0.5708, 0.4021, 0.6852)
O (0.6405, 0.8590, 0.0000)
O (0.7225, 0.5201, 0.5000)
O (0.7295, 0.1557, 0.1852)
O (0.7295, 0.1557, 0.8148)
O (0.7705, 0.6557, 0.1852)
O (0.7705, 0.6557, 0.8148)
O (0.7775, 0.0201, 0.5000)
O (0.8595, 0.3590, 0.0000)
O (0.9292, 0.9021, 0.3148)
O (0.9292, 0.9021, 0.6852)
O (0.9441, 0.3984, 0.5000)
O (0.9582, 0.7687, 0.0000)